[1]
The following is a theoretical powder X-ray diffraction pattern of K2NaCoF6. It was derived from a crystal structure in the Materials Project, relaxed with GGA+U, using λ = 1.5418 Å (Cu Kα).

```
data_K2NaCoF6
_chemical_formula_sum 'K2 Na1 Co1 F6'
_space_group_name_H-M_alt 'P 1'
_space_group_IT_number 1
_cell_length_a 5.857
_cell_length_b 5.857
_cell_length_c 5.857
_cell_angle_alpha 60.00
_cell_angle_beta 60.00
_cell_angle_gamma 60.00
loop_
_space_group_symop_operation_xyz
'x,y,z'
loop_
_atom_site_label
_atom_site_fract_x
_atom_site_fract_y
_atom_site_fract_z
K1 0.250 0.250 0.250
K2 0.750 0.750 0.750
Na1 0.000 0.000 0.000
Co1 0.500 0.500 0.500
F1 0.274 0.274 0.726
F2 0.274 0.726 0.274
F3 0.274 0.726 0.726
F4 0.726 0.274 0.274
F5 0.726 0.274 0.726
F6 0.726 0.726 0.274
```

Top 10 peaks for 15 to 90 degrees two-theta, most intense first:
30.53 deg, I = 100; 43.71 deg, I = 76; 18.55 deg, I = 42; 63.54 deg, I = 39; 54.25 deg, I = 33; 37.62 deg, I = 24; 88.29 deg, I = 18; 72.12 deg, I = 17; 21.46 deg, I = 15; 80.31 deg, I = 11

[2]
The following is a theoretical powder X-ray diffraction pattern of KNa2CoF6. It was derived from a crystal structure in the Materials Project, relaxed with GGA+U, using λ = 1.5418 Å (Cu Kα).

```
data_KNa2CoF6
_chemical_formula_sum 'K1 Na2 Co1 F6'
_space_group_name_H-M_alt 'P 1'
_space_group_IT_number 1
_cell_length_a 6.071
_cell_length_b 6.071
_cell_length_c 6.071
_cell_angle_alpha 60.00
_cell_angle_beta 60.00
_cell_angle_gamma 60.00
loop_
_space_group_symop_operation_xyz
'x,y,z'
loop_
_atom_site_label
_atom_site_fract_x
_atom_site_fract_y
_atom_site_fract_z
K1 0.000 0.000 0.000
Na1 0.250 0.250 0.250
Na2 0.750 0.750 0.750
Co1 0.500 0.500 0.500
F1 0.284 0.284 0.716
F2 0.284 0.716 0.284
F3 0.284 0.716 0.716
F4 0.716 0.284 0.284
F5 0.716 0.284 0.716
F6 0.716 0.716 0.284
```

Top 10 peaks for 15 to 90 degrees two-theta, most intense first:
29.43 deg, I = 100; 20.69 deg, I = 87; 42.10 deg, I = 82; 61.06 deg, I = 41; 17.90 deg, I = 35; 52.20 deg, I = 30; 47.36 deg, I = 23; 69.21 deg, I = 21; 84.44 deg, I = 19; 55.63 deg, I = 11

[3]
The following is a theoretical powder X-ray diffraction pattern of KRb2CoF6. It was derived from a crystal structure in the Materials Project, relaxed with GGA+U, using λ = 1.5418 Å (Cu Kα).

```
data_KRb2CoF6
_chemical_formula_sum 'K1 Rb2 Co1 F6'
_space_group_name_H-M_alt 'P 1'
_space_group_IT_number 1
_cell_length_a 6.243
_cell_length_b 6.243
_cell_length_c 6.243
_cell_angle_alpha 60.00
_cell_angle_beta 60.00
_cell_angle_gamma 60.00
loop_
_space_group_symop_operation_xyz
'x,y,z'
loop_
_atom_site_label
_atom_site_fract_x
_atom_site_fract_y
_atom_site_fract_z
K1 0.000 0.000 0.000
Rb1 0.250 0.250 0.250
Rb2 0.750 0.750 0.750
Co1 0.500 0.500 0.500
F1 0.287 0.287 0.713
F2 0.287 0.713 0.287
F3 0.287 0.713 0.713
F4 0.713 0.287 0.287
F5 0.713 0.287 0.713
F6 0.713 0.713 0.287
```

Top 10 peaks for 15 to 90 degrees two-theta, most intense first:
28.60 deg, I = 100; 40.88 deg, I = 43; 50.65 deg, I = 35; 59.20 deg, I = 24; 81.60 deg, I = 21; 67.04 deg, I = 20; 35.21 deg, I = 20; 17.40 deg, I = 9; 74.45 deg, I = 7; 70.78 deg, I = 5

[4]
The following is a theoretical powder X-ray diffraction pattern of Li3CoF6. It was derived from a crystal structure in the Materials Project, relaxed with GGA+U, using λ = 1.5418 Å (Cu Kα).

```
data_Li3CoF6
_chemical_formula_sum 'Li3 Co1 F6'
_space_group_name_H-M_alt 'P 1'
_space_group_IT_number 1
_cell_length_a 5.360
_cell_length_b 5.360
_cell_length_c 5.360
_cell_angle_alpha 60.00
_cell_angle_beta 60.00
_cell_angle_gamma 60.00
loop_
_space_group_symop_operation_xyz
'x,y,z'
loop_
_atom_site_label
_atom_site_fract_x
_atom_site_fract_y
_atom_site_fract_z
Li1 0.000 0.000 0.000
Li2 0.250 0.250 0.250
Li3 0.750 0.750 0.750
Co1 0.500 0.500 0.500
F1 0.257 0.257 0.743
F2 0.257 0.743 0.257
F3 0.257 0.743 0.743
F4 0.743 0.257 0.257
F5 0.743 0.257 0.743
F6 0.743 0.743 0.257
```

Top 10 peaks for 15 to 90 degrees two-theta, most intense first:
23.47 deg, I = 100; 20.29 deg, I = 76; 48.01 deg, I = 49; 54.11 deg, I = 32; 39.43 deg, I = 31; 70.24 deg, I = 25; 75.21 deg, I = 13; 33.44 deg, I = 12; 63.80 deg, I = 11; 73.98 deg, I = 10